# 1
Ba4Ni3Ge20: calculated powder diffractogram (Cu Kα, 1.54184 Å), based on DFT lattice parameters and positions (PBE).
Kinematic intensities with the Lorentz-polarization factor, no thermal factor.

Most intense lines, 15 to 90 degrees two-theta, by intensity:
2θ = 31.12°, I 1000, (3 2 1); 2θ = 29.96°, I 399, (3 2 0); 2θ = 52.46°, I 395, (5 3 2); 2θ = 49.42°, I 306, (5 3 0); 2θ = 50.95°, I 251, (6 0 0); 2θ = 28.76°, I 209, (2 2 2); 2θ = 34.39°, I 137, (4 1 0); 2θ = 50.19°, I 89, (5 3 1); 2θ = 68.74°, I 87, (6 5 1); 2θ = 33.33°, I 85, (4 0 0)

Atomic structure:
```
Ba4Ni3Ge20
1.0
10.7532 0.0000 0.0000
0.0000 10.7532 0.0000
0.0000 0.0000 10.7532
Ba Ni Ge
8 6 40
Cartesian
0.0000 0.0000 0.0000
0.0000 2.6883 5.3766
0.0000 8.0649 5.3766
2.6883 5.3766 0.0000
5.3766 0.0000 2.6883
5.3766 0.0000 8.0649
5.3766 5.3766 5.3766
8.0649 5.3766 0.0000
0.0000 5.3766 2.6883
0.0000 5.3766 8.0649
2.6883 0.0000 5.3766
5.3766 2.6883 0.0000
5.3766 8.0649 0.0000
8.0649 0.0000 5.3766
0.0000 3.4722 1.3367
0.0000 3.4722 9.4166
0.0000 7.2810 1.3367
0.0000 7.2810 9.4166
1.3367 0.0000 3.4722
1.3367 0.0000 7.2810
1.9044 5.3766 4.0399
1.9044 5.3766 6.7133
1.9679 1.9679 1.9679
1.9679 1.9679 8.7853
1.9679 8.7853 1.9679
1.9679 8.7853 8.7853
3.4087 3.4087 3.4087
3.4087 3.4087 7.3446
3.4087 7.3446 3.4087
3.4087 7.3446 7.3446
3.4722 1.3367 0.0000
3.4722 9.4166 0.0000
4.0399 1.9044 5.3766
4.0399 8.8488 5.3766
5.3766 4.0399 1.9044
5.3766 4.0399 8.8488
5.3766 6.7133 1.9044
5.3766 6.7133 8.8488
6.7133 1.9044 5.3766
6.7133 8.8488 5.3766
7.2810 1.3367 0.0000
7.2810 9.4166 0.0000
7.3446 3.4087 3.4087
7.3446 3.4087 7.3446
7.3446 7.3446 3.4087
7.3446 7.3446 7.3446
8.7853 1.9679 1.9679
8.7853 1.9679 8.7853
8.7853 8.7853 1.9679
8.7853 8.7853 8.7853
8.8488 5.3766 4.0399
8.8488 5.3766 6.7133
9.4166 0.0000 3.4722
9.4166 0.0000 7.2810
```

# 2
Ba2GeO4: calculated powder diffractogram (Cu Kα, 1.54184 Å), based on DFT lattice parameters and positions (PBE).
Kinematic intensities with the Lorentz-polarization factor, no thermal factor.

Most intense lines, 15 to 90 degrees two-theta, by intensity:
2θ = 28.48°, I 1000, (1 2 1); 2θ = 26.08°, I 470, (3 0 1); 2θ = 41.67°, I 313, (2 2 2); 2θ = 26.61°, I 295, (2 2 0); 2θ = 20.49°, I 212, (1 1 1); 2θ = 72.49°, I 168, (9 2 1); 2θ = 31.48°, I 162, (0 0 2); 2θ = 53.83°, I 120, (3 4 1); 2θ = 45.13°, I 118, (5 2 1); 2θ = 46.21°, I 115, (0 4 0)

Atomic structure:
```
Ba2GeO4
1.0
12.8223 0.0000 0.0000
0.0000 7.8584 0.0000
0.0000 0.0000 5.6842
Ba Ge O
8 4 16
Cartesian
0.0000 0.0000 0.0000
0.0000 3.9292 0.0000
2.7640 1.9646 2.7608
3.6472 5.8938 5.6029
6.4111 0.0000 2.8421
6.4111 3.9292 2.8421
9.1751 1.9646 0.0813
10.0583 5.8938 2.9234
1.2789 5.8938 2.4394
5.1322 1.9646 5.2815
7.6900 5.8938 0.4027
11.5434 1.9646 3.2448
0.3936 1.9646 3.9277
1.2164 5.8938 4.2188
2.0958 4.4618 1.7252
2.0958 7.3259 1.7252
4.3153 0.5325 4.5673
4.3153 3.3967 4.5673
5.1947 1.9646 1.3767
6.0175 5.8938 1.0856
6.8047 1.9646 4.5986
7.6275 5.8938 4.3074
8.5069 4.4618 1.1169
8.5069 7.3259 1.1169
10.7265 0.5325 3.9590
10.7265 3.3967 3.9590
11.6058 1.9646 1.4653
12.4287 5.8938 1.7565
```